Theoretical powder diffractogram of Dy2Lu5Al for Cu Kα (λ = 1.5418 Å), from a PBE-relaxed structure.

Lattice parameters (Å, degrees): 5.436 6.911 6.911 59.98 90.00 90.00
Positions (direct):
Dy1 0.000 0.000 0.000
Dy2 0.500 0.342 0.342
Lu1 0.000 0.510 0.999
Lu2 0.000 0.999 0.510
Lu3 0.500 0.341 0.830
Lu4 0.500 0.830 0.341
Lu5 0.500 0.836 0.836
Al1 0.000 0.506 0.506

Top 12 peaks for 2θ from 10° to 90°, by angle:
2θ/deg	I (rel.)
14.8	6
22.1	6
29.9	25
33.0	24
34.2	100
45.1	16
53.0	19
59.7	20
63.8	22
64.6	16
83.9	8
88.3	14

***

Theoretical powder diffractogram of HoTmSi2Pt4 for Cu Kα (λ = 1.5418 Å), from a PBE-relaxed structure.

Lattice parameters (Å, degrees): 7.098 5.430 5.430 41.43 90.00 90.00
Positions (direct):
Ho1 0.000 0.000 0.000
Tm1 0.500 0.898 0.898
Si1 0.000 0.717 0.717
Si2 0.500 0.180 0.180
Pt1 0.201 0.306 0.306
Pt2 0.300 0.591 0.591
Pt3 0.700 0.591 0.591
Pt4 0.799 0.306 0.306

Top 12 peaks for 2θ from 10° to 90°, by angle:
2θ/deg	I (rel.)
27.8	20
30.7	17
35.3	89
35.6	100
37.6	48
42.1	39
43.8	45
45.9	18
47.3	30
65.2	49
66.5	16
80.3	19

***

Theoretical powder diffractogram of Y3Tm2Lu2Ni2Te2 for Cu Kα (λ = 1.5418 Å), from a PBE-relaxed structure.

Lattice parameters (Å, degrees): 9.288 9.288 9.288 156.17 66.90 118.53
Positions (direct):
Y1 0.000 0.000 0.000
Y2 0.309 0.623 0.685
Y3 0.938 0.623 0.315
Tm1 0.623 0.270 0.353
Tm2 0.918 0.270 0.647
Lu1 0.285 0.419 0.866
Lu2 0.552 0.419 0.134
Ni1 0.165 0.925 0.240
Ni2 0.686 0.925 0.760
Te1 0.269 0.769 0.500
Te2 0.661 0.661 0.000

Top 12 peaks for 2θ from 10° to 90°, by angle:
2θ/deg	I (rel.)
25.0	16
28.8	13
30.5	41
33.2	63
34.2	100
34.7	58
45.3	19
47.4	23
51.4	17
59.1	24
62.2	16
65.7	14

***

Theoretical powder diffractogram of NdSi2IrPt for Cu Kα (λ = 1.5418 Å), from a PBE-relaxed structure.

Lattice parameters (Å, degrees): 4.201 4.201 9.980 90.00 90.00 90.00
Positions (direct):
Nd1 0.250 0.250 0.246
Nd2 0.750 0.750 0.754
Si1 0.250 0.250 0.627
Si2 0.250 0.750 0.000
Si3 0.750 0.250 0.000
Si4 0.750 0.750 0.373
Ir1 0.250 0.750 0.500
Ir2 0.750 0.250 0.500
Pt1 0.250 0.250 0.875
Pt2 0.750 0.750 0.125

Top 12 peaks for 2θ from 10° to 90°, by angle:
2θ/deg	I (rel.)
26.8	31
27.8	33
31.4	79
34.4	72
35.2	100
43.1	73
47.6	28
50.6	24
51.4	22
56.2	35
62.5	24
73.8	23

***

Theoretical powder diffractogram of H10PtC11Br2N2Cl2 for Cu Kα (λ = 1.5418 Å), from a PBE-relaxed structure.

Lattice parameters (Å, degrees): 8.304 9.623 10.536 107.95 112.80 92.91
Positions (direct):
H1 0.042 0.199 0.169
H2 0.051 0.642 0.514
H3 0.112 0.870 0.463
H4 0.131 0.902 0.016
H5 0.193 0.178 0.879
H6 0.201 0.425 0.440
H7 0.225 0.437 0.870
H8 0.381 0.008 0.800
H9 0.403 0.453 0.326
H10 0.433 0.509 0.774
H11 0.567 0.491 0.226
H12 0.597 0.547 0.674
H13 0.619 0.992 0.200
H14 0.775 0.563 0.130
H15 0.799 0.575 0.560
H16 0.807 0.822 0.121
H17 0.869 0.098 0.984
H18 0.888 0.130 0.537
H19 0.949 0.358 0.486
H20 0.958 0.801 0.831
Pt1 0.336 0.968 0.320
Pt2 0.664 0.032 0.680
C1 0.078 0.797 0.921
C2 0.140 0.646 0.461
C3 0.173 0.775 0.434
C4 0.223 0.529 0.422
C5 0.285 0.216 0.840
C6 0.302 0.359 0.834
C7 0.337 0.544 0.357
C8 0.366 0.675 0.332
C9 0.387 0.120 0.795
C10 0.418 0.399 0.780
C11 0.484 0.703 0.266
C12 0.516 0.297 0.734
C13 0.582 0.601 0.220
C14 0.613 0.880 0.205
C15 0.634 0.325 0.668
C16 0.663 0.456 0.643
C17 0.698 0.641 0.166
C18 0.715 0.784 0.160
C19 0.777 0.471 0.578
C20 0.827 0.225 0.566
C21 0.860 0.354 0.539
C22 0.922 0.203 0.079
Br1 0.129 0.105 0.397
Br2 0.393 0.162 0.227
Br3 0.607 0.838 0.773
Br4 0.871 0.895 0.603
N1 0.283 0.790 0.370
N2 0.498 0.841 0.256
N3 0.502 0.159 0.744
N4 0.717 0.210 0.630
Cl1 0.025 0.656 0.983
Cl2 0.245 0.762 0.856
Cl3 0.755 0.238 0.144
Cl4 0.975 0.344 0.017

Top 12 peaks for 2θ from 10° to 90°, by angle:
2θ/deg	I (rel.)
11.1	22
11.7	100
11.8	23
14.5	49
18.2	26
19.6	22
22.0	19
23.1	37
23.4	28
24.9	24
26.9	85
44.8	19

***

Theoretical powder diffractogram of Ba2GdInSe5 for Cu Kα (λ = 1.5418 Å), from a PBE-relaxed structure.

Lattice parameters (Å, degrees): 9.784 9.784 13.472 90.00 90.00 154.48
Positions (direct):
Ba1 0.117 0.883 0.500
Ba2 0.132 0.868 0.133
Ba3 0.868 0.132 0.633
Ba4 0.883 0.117 0.000
Gd1 0.211 0.789 0.836
Gd2 0.789 0.211 0.336
In1 0.448 0.552 0.256
In2 0.552 0.448 0.756
Se1 0.050 0.950 0.870
Se2 0.291 0.709 0.477
Se3 0.313 0.687 0.187
Se4 0.357 0.643 0.819
Se5 0.495 0.505 0.584
Se6 0.505 0.495 0.084
Se7 0.643 0.357 0.319
Se8 0.687 0.313 0.687
Se9 0.709 0.291 0.977
Se10 0.950 0.050 0.370

Top 12 peaks for 2θ from 10° to 90°, by angle:
2θ/deg	I (rel.)
21.9	17
24.9	26
28.8	59
29.1	100
34.1	45
34.6	11
37.3	15
40.1	14
41.4	23
41.8	29
47.8	23
51.6	23

***

Theoretical powder diffractogram of RbRe3Pb5 for Cu Kα (λ = 1.5418 Å), from a PBE-relaxed structure.

Lattice parameters (Å, degrees): 5.563 5.563 9.250 90.00 90.00 120.00
Positions (direct):
Rb1 0.000 0.000 0.000
Re1 0.000 0.500 0.500
Re2 0.500 0.000 0.500
Re3 0.500 0.500 0.500
Pb1 0.000 0.000 0.500
Pb2 0.333 0.667 0.229
Pb3 0.333 0.667 0.771
Pb4 0.667 0.333 0.229
Pb5 0.667 0.333 0.771

Top 12 peaks for 2θ from 10° to 90°, by angle:
2θ/deg	I (rel.)
18.4	24
26.7	55
29.0	29
32.2	59
37.7	42
38.6	44
38.9	33
42.3	100
51.4	25
63.4	20
67.3	23
80.6	25

***

Theoretical powder diffractogram of TbSc4In for Cu Kα (λ = 1.5418 Å), from a PBE-relaxed structure.

Lattice parameters (Å, degrees): 7.643 7.643 7.643 39.21 39.21 39.21
Positions (direct):
Tb1 0.000 0.000 0.000
Sc1 0.216 0.216 0.216
Sc2 0.366 0.366 0.366
Sc3 0.634 0.634 0.634
Sc4 0.784 0.784 0.784
In1 0.500 0.500 0.500

Top 12 peaks for 2θ from 10° to 90°, by angle:
2θ/deg	I (rel.)
21.7	52
25.3	29
26.2	62
29.2	21
35.0	100
39.7	40
43.7	41
44.2	15
47.6	15
53.9	16
62.8	17
65.9	17

***

Theoretical powder diffractogram of GdYTl4Ni2 for Cu Kα (λ = 1.5418 Å), from a PBE-relaxed structure.

Lattice parameters (Å, degrees): 7.504 5.799 5.799 44.24 90.00 90.00
Positions (direct):
Gd1 0.000 0.000 0.000
Y1 0.500 0.139 0.139
Tl1 0.204 0.710 0.710
Tl2 0.297 0.428 0.428
Tl3 0.703 0.428 0.428
Tl4 0.796 0.710 0.710
Ni1 0.000 0.281 0.281
Ni2 0.500 0.857 0.857

Top 12 peaks for 2θ from 10° to 90°, by angle:
2θ/deg	I (rel.)
22.0	18
32.3	53
32.5	100
33.4	25
34.5	37
39.7	34
40.5	46
41.3	64
42.5	27
58.7	22
60.6	21
64.3	21

***

Theoretical powder diffractogram of Gd2AlGaCo4 for Cu Kα (λ = 1.5418 Å), from a PBE-relaxed structure.

Lattice parameters (Å, degrees): 4.141 4.141 9.262 90.00 90.00 120.00
Positions (direct):
Gd1 0.333 0.667 0.249
Gd2 0.667 0.333 0.751
Al1 0.000 0.000 0.000
Ga1 0.000 0.000 0.500
Co1 0.333 0.667 0.536
Co2 0.333 0.667 0.960
Co3 0.667 0.333 0.040
Co4 0.667 0.333 0.464

Top 12 peaks for 2θ from 10° to 90°, by angle:
2θ/deg	I (rel.)
24.8	30
26.7	76
31.6	21
38.5	100
38.9	29
43.7	88
51.9	12
59.6	27
59.9	49
70.2	10
76.8	42
80.3	14

***

Theoretical powder diffractogram of ErFe12 for Cu Kα (λ = 1.5418 Å), from a PBE-relaxed structure.

Lattice parameters (Å, degrees): 6.318 6.318 6.318 97.68 97.68 137.11
Positions (direct):
Er1 0.000 0.000 0.000
Fe1 0.000 0.000 0.500
Fe2 0.000 0.359 0.359
Fe3 0.000 0.500 0.000
Fe4 0.000 0.641 0.641
Fe5 0.275 0.500 0.775
Fe6 0.359 0.000 0.359
Fe7 0.500 0.000 0.000
Fe8 0.500 0.275 0.775
Fe9 0.500 0.500 0.500
Fe10 0.500 0.725 0.225
Fe11 0.641 0.000 0.641
Fe12 0.725 0.500 0.225

Top 12 peaks for 2θ from 10° to 90°, by angle:
2θ/deg	I (rel.)
30.9	41
34.1	16
37.8	47
39.0	17
43.5	59
43.9	100
44.9	69
50.2	22
64.3	12
74.0	20
80.2	19
80.9	18

***

Theoretical powder diffractogram of Zr2TlHg for Cu Kα (λ = 1.5418 Å), from a PBE-relaxed structure.

Lattice parameters (Å, degrees): 5.094 5.094 5.094 60.00 60.00 60.00
Positions (direct):
Zr1 0.000 0.000 0.000
Zr2 0.250 0.250 0.250
Tl1 0.500 0.500 0.500
Hg1 0.750 0.750 0.750

Top 11 peaks for 2θ from 10° to 90°, by angle:
2θ/deg	I (rel.)
21.4	14
35.2	100
41.6	9
50.7	18
55.6	4
63.2	37
67.6	3
74.5	11
78.6	3
85.2	16
89.1	1

***

Theoretical powder diffractogram of AcZn2Au2 for Cu Kα (λ = 1.5418 Å), from a PBE-relaxed structure.

Lattice parameters (Å, degrees): 6.675 6.663 4.351 71.10 70.82 38.08
Positions (direct):
Ac1 0.000 0.000 0.000
Zn1 0.250 0.250 0.250
Zn2 0.750 0.750 0.750
Au1 0.379 0.379 0.621
Au2 0.621 0.621 0.379

Top 12 peaks for 2θ from 10° to 90°, by angle:
2θ/deg	I (rel.)
28.9	28
29.1	28
30.6	100
32.7	28
32.9	27
41.5	56
43.5	49
52.3	23
52.6	23
61.6	18
61.8	18
78.1	17